(1)
For TlBi2Te3, a crystal structure in Alexandria, relaxed with GGA-PBE gives the simulated PXRD pattern in this record (Cu Kα).
No peak broadening, texture or thermal motion is included.

Structure:
```
data_TlBi2Te3
_chemical_formula_sum 'Tl2 Bi4 Te6'
_space_group_name_H-M_alt 'P 1'
_space_group_IT_number 1
_cell_length_a 4.313
_cell_length_b 12.313
_cell_length_c 8.008
_cell_angle_alpha 90.00
_cell_angle_beta 90.00
_cell_angle_gamma 90.00
loop_
_space_group_symop_operation_xyz
'x,y,z'
loop_
_atom_site_label
_atom_site_type_symbol
_atom_site_fract_x
_atom_site_fract_y
_atom_site_fract_z
Tl1 Tl 0.000 0.143 0.000
Tl2 Tl 0.000 0.857 0.500
Bi1 Bi 0.000 0.169 0.481
Bi2 Bi 0.000 0.831 0.981
Bi3 Bi 0.500 0.495 0.970
Bi4 Bi 0.500 0.505 0.470
Te1 Te 0.000 0.381 0.746
Te2 Te 0.000 0.619 0.246
Te3 Te 0.500 0.059 0.690
Te4 Te 0.500 0.302 0.254
Te5 Te 0.500 0.698 0.754
Te6 Te 0.500 0.941 0.190
```

Largest 8 diffraction maxima, by intensity, 10 to 80 degrees two-theta:
2θ (°), Rel. int.
31.34, 100.0
31.21, 98.1
53.15, 44.8
35.84, 43.2
27.60, 37.8
33.84, 35.8
41.89, 32.9
25.21, 29.8

(2)
For NpNiRuRh, a crystal structure in Alexandria, relaxed with GGA-PBE gives the simulated PXRD pattern in this record (Cu Kα).
No peak broadening, texture or thermal motion is included.

Structure:
```
data_NpNiRuRh
_chemical_formula_sum 'Np1 Ni1 Ru1 Rh1'
_space_group_name_H-M_alt 'P 1'
_space_group_IT_number 1
_cell_length_a 3.784
_cell_length_b 3.955
_cell_length_c 4.126
_cell_angle_alpha 90.00
_cell_angle_beta 90.00
_cell_angle_gamma 90.00
loop_
_space_group_symop_operation_xyz
'x,y,z'
loop_
_atom_site_label
_atom_site_type_symbol
_atom_site_fract_x
_atom_site_fract_y
_atom_site_fract_z
Np1 Np 0.000 0.000 0.000
Ni1 Ni 0.000 0.500 0.500
Ru1 Ru 0.500 0.500 0.000
Rh1 Rh 0.500 0.000 0.500
```

Largest 8 diffraction maxima, by intensity, 10 to 80 degrees two-theta:
2θ (°), Rel. int.
39.54, 100.0
43.89, 18.6
45.89, 16.3
48.09, 14.2
77.73, 13.7
21.54, 11.8
22.48, 11.4
65.37, 11.3

(3)
For Rb4Na3, a crystal structure in Alexandria, relaxed with GGA-PBE gives the simulated PXRD pattern in this record (Cu Kα).
No peak broadening, texture or thermal motion is included.

Structure:
```
data_Rb4Na3
_chemical_formula_sum 'Rb4 Na3'
_space_group_name_H-M_alt 'P 1'
_space_group_IT_number 1
_cell_length_a 12.111
_cell_length_b 12.111
_cell_length_c 12.111
_cell_angle_alpha 33.49
_cell_angle_beta 33.49
_cell_angle_gamma 33.49
loop_
_space_group_symop_operation_xyz
'x,y,z'
loop_
_atom_site_label
_atom_site_type_symbol
_atom_site_fract_x
_atom_site_fract_y
_atom_site_fract_z
Rb1 Rb 0.120 0.120 0.120
Rb2 Rb 0.371 0.371 0.371
Rb3 Rb 0.629 0.629 0.629
Rb4 Rb 0.880 0.880 0.880
Na1 Na 0.242 0.242 0.242
Na2 Na 0.500 0.500 0.500
Na3 Na 0.758 0.758 0.758
```

Largest 8 diffraction maxima, by intensity, 10 to 80 degrees two-theta:
2θ (°), Rel. int.
25.51, 100.0
17.96, 49.4
44.97, 39.3
40.86, 22.9
36.39, 18.8
31.38, 16.3
59.17, 16.0
52.41, 12.0

(4)
For Ca2Sm2Mg3, a crystal structure in Alexandria, relaxed with GGA-PBE gives the simulated PXRD pattern in this record (Cu Kα).
No peak broadening, texture or thermal motion is included.

Structure:
```
data_Ca2Sm2Mg3
_chemical_formula_sum 'Ca2 Sm2 Mg3'
_space_group_name_H-M_alt 'P 1'
_space_group_IT_number 1
_cell_length_a 15.409
_cell_length_b 15.409
_cell_length_c 3.741
_cell_angle_alpha 90.00
_cell_angle_beta 90.00
_cell_angle_gamma 165.49
loop_
_space_group_symop_operation_xyz
'x,y,z'
loop_
_atom_site_label
_atom_site_type_symbol
_atom_site_fract_x
_atom_site_fract_y
_atom_site_fract_z
Ca1 Ca 0.196 0.804 0.000
Ca2 Ca 0.804 0.196 0.000
Sm1 Sm 0.062 0.938 0.000
Sm2 Sm 0.938 0.062 0.000
Mg1 Mg 0.373 0.627 0.500
Mg2 Mg 0.500 0.500 0.500
Mg3 Mg 0.627 0.373 0.500
```

Largest 8 diffraction maxima, by intensity, 10 to 80 degrees two-theta:
2θ (°), Rel. int.
33.35, 100.0
33.52, 75.5
30.77, 74.4
23.04, 56.0
58.69, 52.1
23.28, 41.8
23.79, 41.7
35.06, 34.6

(5)
For SmBiPb, a crystal structure in Alexandria, relaxed with GGA-PBE gives the simulated PXRD pattern in this record (Cu Kα).
No peak broadening, texture or thermal motion is included.

Structure:
```
data_SmBiPb
_chemical_formula_sum 'Sm2 Bi2 Pb2'
_space_group_name_H-M_alt 'P 1'
_space_group_IT_number 1
_cell_length_a 8.946
_cell_length_b 4.604
_cell_length_c 4.604
_cell_angle_alpha 90.00
_cell_angle_beta 90.00
_cell_angle_gamma 90.00
loop_
_space_group_symop_operation_xyz
'x,y,z'
loop_
_atom_site_label
_atom_site_type_symbol
_atom_site_fract_x
_atom_site_fract_y
_atom_site_fract_z
Sm1 Sm 0.184 0.250 0.750
Sm2 Sm 0.816 0.750 0.250
Bi1 Bi 0.176 0.750 0.250
Bi2 Bi 0.824 0.250 0.750
Pb1 Pb 0.500 0.248 0.248
Pb2 Pb 0.500 0.748 0.748
```

Largest 8 diffraction maxima, by intensity, 10 to 80 degrees two-theta:
2θ (°), Rel. int.
29.19, 100.0
34.06, 96.6
39.14, 57.0
29.96, 55.3
50.06, 54.7
67.68, 27.4
58.90, 26.3
65.31, 25.0

(6)
For TiCd4, a crystal structure in Alexandria, relaxed with GGA-PBE gives the simulated PXRD pattern in this record (Cu Kα).
No peak broadening, texture or thermal motion is included.

Structure:
```
data_TiCd4
_chemical_formula_sum 'Ti1 Cd4'
_space_group_name_H-M_alt 'P 1'
_space_group_IT_number 1
_cell_length_a 11.215
_cell_length_b 11.215
_cell_length_c 11.215
_cell_angle_alpha 164.32
_cell_angle_beta 164.32
_cell_angle_gamma 22.24
loop_
_space_group_symop_operation_xyz
'x,y,z'
loop_
_atom_site_label
_atom_site_type_symbol
_atom_site_fract_x
_atom_site_fract_y
_atom_site_fract_z
Ti1 Ti 0.000 0.000 0.000
Cd1 Cd 0.198 0.198 0.000
Cd2 Cd 0.406 0.406 0.000
Cd3 Cd 0.594 0.594 0.000
Cd4 Cd 0.802 0.802 0.000
```

Largest 8 diffraction maxima, by intensity, 10 to 80 degrees two-theta:
2θ (°), Rel. int.
35.74, 100.0
41.76, 32.6
72.33, 23.3
59.96, 19.5
41.01, 15.9
71.29, 10.3
60.53, 10.3
75.73, 9.6

(7)
For TlFe3Br9, a crystal structure in Alexandria, relaxed with GGA-PBE gives the simulated PXRD pattern in this record (Cu Kα).
No peak broadening, texture or thermal motion is included.

Structure:
```
data_TlFe3Br9
_chemical_formula_sum 'Tl2 Fe6 Br18'
_space_group_name_H-M_alt 'P 1'
_space_group_IT_number 1
_cell_length_a 10.104
_cell_length_b 10.104
_cell_length_c 10.714
_cell_angle_alpha 90.00
_cell_angle_beta 90.00
_cell_angle_gamma 106.47
loop_
_space_group_symop_operation_xyz
'x,y,z'
loop_
_atom_site_label
_atom_site_type_symbol
_atom_site_fract_x
_atom_site_fract_y
_atom_site_fract_z
Tl1 Tl 0.097 0.097 0.000
Tl2 Tl 0.903 0.903 0.500
Fe1 Fe 0.255 0.255 0.500
Fe2 Fe 0.318 0.644 0.947
Fe3 Fe 0.356 0.682 0.553
Fe4 Fe 0.644 0.318 0.053
Fe5 Fe 0.682 0.356 0.447
Fe6 Fe 0.745 0.745 0.000
Br1 Br 0.104 0.185 0.670
Br2 Br 0.185 0.104 0.330
Br3 Br 0.191 0.801 0.926
Br4 Br 0.194 0.443 0.047
Br5 Br 0.199 0.809 0.574
Br6 Br 0.243 0.480 0.423
Br7 Br 0.415 0.585 0.750
Br8 Br 0.443 0.194 0.953
Br9 Br 0.480 0.243 0.577
Br10 Br 0.520 0.757 0.077
Br11 Br 0.557 0.806 0.453
Br12 Br 0.585 0.415 0.250
Br13 Br 0.757 0.520 0.923
Br14 Br 0.801 0.191 0.074
Br15 Br 0.806 0.557 0.547
Br16 Br 0.809 0.199 0.426
Br17 Br 0.815 0.896 0.830
Br18 Br 0.896 0.815 0.170
```

Largest 8 diffraction maxima, by intensity, 10 to 80 degrees two-theta:
2θ (°), Rel. int.
16.55, 100.0
10.93, 69.4
18.00, 67.2
33.99, 58.0
28.54, 54.8
24.22, 54.1
28.87, 49.7
31.11, 37.5

(8)
For SmEr2F11, a crystal structure in Alexandria, relaxed with GGA-PBE gives the simulated PXRD pattern in this record (Cu Kα).
No peak broadening, texture or thermal motion is included.

Structure:
```
data_SmEr2F11
_chemical_formula_sum 'Sm2 Er4 F22'
_space_group_name_H-M_alt 'P 1'
_space_group_IT_number 1
_cell_length_a 8.685
_cell_length_b 8.685
_cell_length_c 8.685
_cell_angle_alpha 122.76
_cell_angle_beta 107.90
_cell_angle_gamma 98.72
loop_
_space_group_symop_operation_xyz
'x,y,z'
loop_
_atom_site_label
_atom_site_type_symbol
_atom_site_fract_x
_atom_site_fract_y
_atom_site_fract_z
Sm1 Sm 0.250 0.250 0.000
Sm2 Sm 0.750 0.750 0.000
Er1 Er 0.189 0.657 0.846
Er2 Er 0.311 0.157 0.468
Er3 Er 0.689 0.843 0.532
Er4 Er 0.811 0.343 0.154
F1 F 0.000 0.500 0.500
F2 F 0.033 0.964 0.278
F3 F 0.054 0.343 0.134
F4 F 0.186 0.464 0.931
F5 F 0.197 0.390 0.587
F6 F 0.209 0.920 0.866
F7 F 0.291 0.157 0.711
F8 F 0.303 0.890 0.193
F9 F 0.314 0.245 0.278
F10 F 0.446 0.580 0.289
F11 F 0.467 0.745 0.931
F12 F 0.500 0.000 0.500
F13 F 0.533 0.255 0.069
F14 F 0.554 0.420 0.711
F15 F 0.686 0.755 0.722
F16 F 0.697 0.110 0.807
F17 F 0.709 0.843 0.289
F18 F 0.791 0.080 0.134
F19 F 0.803 0.610 0.413
F20 F 0.814 0.536 0.069
F21 F 0.946 0.657 0.866
F22 F 0.967 0.036 0.722
```

Largest 8 diffraction maxima, by intensity, 10 to 80 degrees two-theta:
2θ (°), Rel. int.
20.88, 100.0
23.46, 87.9
24.40, 78.6
45.10, 52.4
21.87, 50.6
15.67, 35.3
42.96, 32.5
44.18, 27.6